Starting from a crystal structure in Alexandria, relaxed with PBE, the X-ray powder pattern of MgNbO3 was simulated for Cu Kα (weighted mean of Kα1 and Kα2).
No peak broadening, texture or thermal motion is included.

Peak list (6 most intense, 10 to 80 degrees two-theta, by intensity)
2theta	I_rel
18.44	100
46.97	31
32.22	27
50.87	19
38.27	17
50.16	13

Structural model:
abc: 5.5568 5.5568 2.6956
angles: 90.00 90.00 120.00
Fractional positions:
Mg: 0.0000 0.0000 0.0000
Nb: 0.6667 0.3333 0.0000
O: 0.3353 0.1676 0.5000
O: 0.8324 0.1676 0.5000
O: 0.8324 0.6647 0.5000

=====

Starting from a crystal structure in Alexandria, relaxed with PBE, the X-ray powder pattern of MgTiNb2Pb4O12 was simulated for Cu Kα (weighted mean of Kα1 and Kα2).
No peak broadening, texture or thermal motion is included.

Peak list (6 most intense, 10 to 80 degrees two-theta, by intensity)
2theta	I_rel
31.03	100
21.45	31
30.17	27
43.70	27
30.86	26
54.13	22

Structural model:
abc: 5.7958 8.0235 5.9248
angles: 90.00 90.00 90.00
Fractional positions:
Mg: 0.0000 0.0000 0.0000
Ti: 0.5000 0.5000 0.4772
Nb: 0.0000 0.5000 0.9774
Nb: 0.5000 0.0000 0.5032
Pb: 0.0000 0.2462 0.4481
Pb: 0.0000 0.7538 0.4481
Pb: 0.5000 0.2295 0.9518
Pb: 0.5000 0.7705 0.9518
O: 0.0000 0.2595 0.0499
O: 0.0000 0.7405 0.0499
O: 0.2474 0.0000 0.2873
O: 0.2509 0.5000 0.2872
O: 0.2531 0.5000 0.7755
O: 0.2703 0.0000 0.7773
O: 0.5000 0.2547 0.5332
O: 0.5000 0.7453 0.5332
O: 0.7297 0.0000 0.7773
O: 0.7469 0.5000 0.7755
O: 0.7491 0.5000 0.2872
O: 0.7526 0.0000 0.2873